Theoretical PXRD pattern
Compound: CsSbP
Radiation: Cu Ka
Structure: DFT lattice parameters and positions (GGA-PBE)
Intensities are scaled so that the largest is 100.

Most intense lines, 15 to 90 degrees two-theta, sorted by position:
| hkl | 2θ/deg | d_spacing | I/Imax |
| --- | --- | --- | --- |
| 1 0 -1 | 17.54 | 5.056 | 52 |
| 1 1 -1 | 20.35 | 4.364 | 38 |
| 1 1 0 | 21.89 | 4.060 | 68 |
| 1 -1 1 | 23.76 | 3.745 | 90 |
| -1 1 1 | 24.42 | 3.645 | 64 |
| 0 2 -1 | 26.58 | 3.353 | 100 |
| 0 0 2 | 28.11 | 3.174 | 75 |
| 2 0 0 | 30.84 | 2.900 | 47 |
| 2 -1 0 | 32.54 | 2.752 | 64 |
| 0 2 1 | 35.79 | 2.509 | 60 |

a b c (Å): 6.0444 6.7932 7.0300
angles (deg): 109.68 105.31 90.77
Fractional coordinates of all 6 atoms:
Cs 0.1048 0.3165 0.2104
Cs 0.8952 0.6835 0.7896
Sb 0.4994 0.8459 0.3093
Sb 0.5006 0.1541 0.6907
P 0.0727 0.1278 0.6431
P 0.9273 0.8722 0.3569